[1]
For HoErTlRh, a crystal structure in Alexandria, relaxed with GGA-PBE gives the calculated XRD peak list in this record (Cu Kα (weighted mean of Kα1 and Kα2)).
Kinematic intensities with the Lorentz-polarization factor, no thermal factor.

Structure:
```
data_HoErTlRh
_chemical_formula_sum 'Ho1 Er1 Tl1 Rh1'
_space_group_name_H-M_alt 'P 4 m m'
_space_group_IT_number 99
_space_group_name_Hall 'P 4 -2'
_cell_length_a 3.515
_cell_length_b 3.515
_cell_length_c 7.555
_cell_angle_alpha 90.00
_cell_angle_beta 90.00
_cell_angle_gamma 90.00
loop_
_atom_site_label
_atom_site_fract_x
_atom_site_fract_y
_atom_site_fract_z
_atom_site_occupancy
Ho1 0.000 0.000 0.000 1
Er1 0.000 0.000 0.430 1
Tl1 0.500 0.500 0.714 1
Rh1 0.500 0.500 0.218 1
```

The 8 most intense peaks (2θ from 5° to 70°), sorted by position:
28.00 deg, intensity 13
34.87 deg, intensity 100
36.14 deg, intensity 50
48.18 deg, intensity 7
51.67 deg, intensity 8
52.04 deg, intensity 18
61.68 deg, intensity 14
64.18 deg, intensity 34

[2]
For Ho2Er2Ru, a crystal structure in Alexandria, relaxed with GGA-PBE gives the calculated XRD peak list in this record (Cu Kα (weighted mean of Kα1 and Kα2)).
Kinematic intensities with the Lorentz-polarization factor, no thermal factor.

Structure:
```
data_Ho2Er2Ru
_chemical_formula_sum 'Ho8 Er8 Ru4'
_space_group_name_H-M_alt 'C 1 2/m 1'
_space_group_IT_number 12
_space_group_name_Hall '-C 2y'
_cell_length_a 7.305
_cell_length_b 11.765
_cell_length_c 7.240
_cell_angle_alpha 90.00
_cell_angle_beta 115.59
_cell_angle_gamma 90.00
loop_
_atom_site_label
_atom_site_fract_x
_atom_site_fract_y
_atom_site_fract_z
_atom_site_occupancy
Ho1 0.049 0.223 0.253 1
Er1 0.228 0.500 0.896 1
Er2 0.243 0.000 0.600 1
Ru1 0.000 0.373 0.500 1
```

The 8 most intense peaks (2θ from 5° to 70°), sorted by position:
30.39 deg, intensity 37
31.12 deg, intensity 100
31.33 deg, intensity 47
33.74 deg, intensity 71
36.41 deg, intensity 39
39.05 deg, intensity 26
42.52 deg, intensity 26
53.24 deg, intensity 19

[3]
For Ho4Er3Ru4, a crystal structure in Alexandria, relaxed with GGA-PBE gives the calculated XRD peak list in this record (Cu Kα (weighted mean of Kα1 and Kα2)).
Kinematic intensities with the Lorentz-polarization factor, no thermal factor.

Structure:
```
data_Ho4Er3Ru4
_chemical_formula_sum 'Ho8 Er6 Ru8'
_space_group_name_H-M_alt 'I m m m'
_space_group_IT_number 71
_space_group_name_Hall '-I 2 2'
_cell_length_a 3.497
_cell_length_b 8.813
_cell_length_c 16.226
_cell_angle_alpha 90.00
_cell_angle_beta 90.00
_cell_angle_gamma 90.00
loop_
_atom_site_label
_atom_site_fract_x
_atom_site_fract_y
_atom_site_fract_z
_atom_site_occupancy
Ho1 0.000 0.191 0.165 1
Er1 0.000 0.000 0.403 1
Er2 0.000 0.500 0.500 1
Ru1 0.000 0.277 0.000 1
Ru2 0.000 0.500 0.241 1
```

The 8 most intense peaks (2θ from 5° to 70°), sorted by position:
29.33 deg, intensity 21
30.44 deg, intensity 24
33.16 deg, intensity 100
34.75 deg, intensity 50
35.39 deg, intensity 62
37.82 deg, intensity 22
39.08 deg, intensity 38
63.37 deg, intensity 30

[4]
For Ho2Er6Ru, a crystal structure in Alexandria, relaxed with GGA-PBE gives the calculated XRD peak list in this record (Cu Kα (weighted mean of Kα1 and Kα2)).
Kinematic intensities with the Lorentz-polarization factor, no thermal factor.

Structure:
```
data_Ho2Er6Ru
_chemical_formula_sum 'Ho4 Er12 Ru2'
_space_group_name_H-M_alt 'C m m m'
_space_group_IT_number 65
_space_group_name_Hall '-C 2 2'
_cell_length_a 9.011
_cell_length_b 17.000
_cell_length_c 3.434
_cell_angle_alpha 90.00
_cell_angle_beta 90.00
_cell_angle_gamma 90.00
loop_
_atom_site_label
_atom_site_fract_x
_atom_site_fract_y
_atom_site_fract_z
_atom_site_occupancy
Ho1 0.000 0.174 0.000 1
Er1 0.169 0.337 0.500 1
Er2 0.248 0.000 0.000 1
Ru1 0.000 0.500 0.500 1
```

The 8 most intense peaks (2θ from 5° to 70°), sorted by position:
28.30 deg, intensity 48
31.58 deg, intensity 97
32.05 deg, intensity 54
33.77 deg, intensity 100
34.49 deg, intensity 95
39.21 deg, intensity 61
54.73 deg, intensity 27
64.65 deg, intensity 31